No. 1
# MgCr4S8
Theoretical powder diffractogram, copper Kα. Input: the GGA-PBE geometry in the Materials Project.
Intensities are scaled so that the largest is 1000.

Top 6 peaks for 10 to 90 degrees two-theta, by angle:
12.4 deg, d = 7.161 Å, intensity 1000, hkl 0 0 1
14.8 deg, d = 5.972 Å, intensity 294, hkl 1 0 0
15.0 deg, d = 5.922 Å, intensity 560, hkl 0 1 -1
15.1 deg, d = 5.868 Å, intensity 298, hkl 1 0 -1
39.1 deg, d = 2.304 Å, intensity 252, hkl 2 -2 0
39.3 deg, d = 2.294 Å, intensity 248, hkl 2 2 -2

Crystal structure
```
data_MgCr4S8
_symmetry_space_group_name_H-M 'P 1'
_symmetry_Int_Tables_number 1
_cell_length_a 6.502
_cell_length_b 6.504
_cell_length_c 8.434
_cell_angle_alpha 112.40
_cell_angle_beta 111.35
_cell_angle_gamma 90.25
loop_
_symmetry_equiv_pos_as_xyz
'x,y,z'
loop_
_atom_site_label
_atom_site_type_symbol
_atom_site_fract_x
_atom_site_fract_y
_atom_site_fract_z
Mg1 Mg 0.000 0.000 0.000
Cr1 Cr 0.054 0.801 0.620
Cr2 Cr 0.201 0.952 0.382
Cr3 Cr 0.204 0.424 0.383
Cr4 Cr 0.572 0.799 0.621
S1 S 0.346 0.591 0.688
S2 S 0.349 0.073 0.691
S3 S 0.375 0.130 0.262
S4 S 0.406 0.652 0.316
S5 S 0.862 0.091 0.724
S6 S 0.866 0.625 0.733
S7 S 0.913 0.138 0.281
S8 S 0.937 0.648 0.311
```

***

No. 2
# MgCr4S8
Theoretical powder diffractogram, copper Kα. Input: the GGA-PBE geometry in the Materials Project.
Intensities are scaled so that the largest is 1000.

Top 6 peaks for 10 to 90 degrees two-theta, by angle:
12.6 deg, d = 7.038 Å, intensity 1000, hkl 0 0 1
14.8 deg, d = 5.977 Å, intensity 321, hkl 0 1 0
15.0 deg, d = 5.912 Å, intensity 880, hkl 0 1 -1
25.3 deg, d = 3.519 Å, intensity 161, hkl 0 0 2
38.4 deg, d = 2.346 Å, intensity 156, hkl 0 0 3
39.0 deg, d = 2.311 Å, intensity 528, hkl 2 2 -2

Crystal structure
```
data_MgCr4S8
_symmetry_space_group_name_H-M 'P 1'
_symmetry_Int_Tables_number 1
_cell_length_a 6.522
_cell_length_b 6.550
_cell_length_c 8.352
_cell_angle_alpha 112.14
_cell_angle_beta 112.56
_cell_angle_gamma 90.12
loop_
_symmetry_equiv_pos_as_xyz
'x,y,z'
loop_
_atom_site_label
_atom_site_type_symbol
_atom_site_fract_x
_atom_site_fract_y
_atom_site_fract_z
Mg1 Mg 0.000 0.000 0.000
Cr1 Cr 0.038 0.795 0.614
Cr2 Cr 0.182 0.933 0.377
Cr3 Cr 0.186 0.420 0.380
Cr4 Cr 0.571 0.795 0.616
S1 S 0.339 0.057 0.689
S2 S 0.339 0.604 0.692
S3 S 0.370 0.130 0.277
S4 S 0.384 0.641 0.303
S5 S 0.855 0.083 0.715
S6 S 0.864 0.623 0.734
S7 S 0.900 0.129 0.275
S8 S 0.907 0.641 0.303
```

***

No. 3
# MgScCrS4
Theoretical powder diffractogram, copper Kα. Input: the GGA-PBE geometry in the Materials Project.
Intensities are scaled so that the largest is 1000.

Top 6 peaks for 10 to 90 degrees two-theta, by angle:
14.7 deg, d = 6.046 Å, intensity 623, hkl 0 1 1
28.3 deg, d = 3.156 Å, intensity 687, hkl 2 1 1
34.3 deg, d = 2.617 Å, intensity 1000, hkl 2 2 0
45.0 deg, d = 2.015 Å, intensity 439, hkl 0 1 5
49.2 deg, d = 1.851 Å, intensity 801, hkl 2 2 4
82.4 deg, d = 1.170 Å, intensity 178, hkl 6 2 0

Crystal structure
```
data_MgScCrS4
_symmetry_space_group_name_H-M 'I m m a'
_symmetry_Int_Tables_number 74
_symmetry_space_group_name_Hall '-I 2b 2'
_cell_length_a 7.393
_cell_length_b 7.411
_cell_length_c 10.466
_cell_angle_alpha 90.00
_cell_angle_beta 90.00
_cell_angle_gamma 90.00
loop_
_atom_site_label
_atom_site_type_symbol
_atom_site_fract_x
_atom_site_fract_y
_atom_site_fract_z
Mg1 Mg 0.000 0.250 0.124
Sc1 Sc 0.000 0.000 0.500
Cr1 Cr 0.250 0.250 0.750
S1 S 0.000 0.031 0.747
S2 S 0.239 0.250 0.517
```

***

No. 4
# Mg2Sc3CrS8
Theoretical powder diffractogram, copper Kα. Input: the GGA-PBE geometry in the Materials Project.
Intensities are scaled so that the largest is 1000.

Top 6 peaks for 10 to 90 degrees two-theta, by angle:
14.5 deg, d = 6.109 Å, intensity 526, hkl 1 0 1
28.0 deg, d = 3.190 Å, intensity 484, hkl 1 1 3
33.9 deg, d = 2.643 Å, intensity 1000, hkl 0 2 4
44.5 deg, d = 2.036 Å, intensity 344, hkl 1 2 5
48.6 deg, d = 1.873 Å, intensity 494, hkl 2 2 0
48.9 deg, d = 1.864 Å, intensity 501, hkl 2 0 8

Crystal structure
```
data_Mg2Sc3CrS8
_symmetry_space_group_name_H-M 'R -3 m'
_symmetry_Int_Tables_number 166
_symmetry_space_group_name_Hall '-R 3 2"'
_cell_length_a 7.4915
_cell_length_b 7.4915
_cell_length_c 18.2246
_cell_angle_alpha 90.00
_cell_angle_beta 90.00
_cell_angle_gamma 120.00
loop_
_atom_site_label
_atom_site_type_symbol
_atom_site_fract_x
_atom_site_fract_y
_atom_site_fract_z
Mg1 Mg 0.0000 0.0000 0.1254
Sc1 Sc 0.0000 0.5000 0.0000
Cr1 Cr 0.0000 0.0000 0.5000
S1 S 0.0000 0.0000 0.2578
S2 S 0.0294 0.5147 0.2484
```

***

No. 5
# SmMgCrS4
Theoretical powder diffractogram, copper Kα. Input: the GGA-PBE geometry in the Materials Project.
Intensities are scaled so that the largest is 1000.

Top 6 peaks for 10 to 90 degrees two-theta, by angle:
14.3 deg, d = 6.188 Å, intensity 1000, hkl 1 0 1
27.1 deg, d = 3.285 Å, intensity 797, hkl 1 2 1
27.5 deg, d = 3.243 Å, intensity 552, hkl 1 0 3
33.1 deg, d = 2.706 Å, intensity 790, hkl 2 2 0
33.3 deg, d = 2.694 Å, intensity 379, hkl 0 0 4
47.6 deg, d = 1.909 Å, intensity 689, hkl 2 2 4

Crystal structure
```
data_SmMgCrS4
_symmetry_space_group_name_H-M 'I m m a'
_symmetry_Int_Tables_number 74
_symmetry_space_group_name_Hall '-I 2b 2'
_cell_length_a 7.558
_cell_length_b 7.753
_cell_length_c 10.775
_cell_angle_alpha 90.00
_cell_angle_beta 90.00
_cell_angle_gamma 90.00
loop_
_atom_site_label
_atom_site_type_symbol
_atom_site_fract_x
_atom_site_fract_y
_atom_site_fract_z
Sm1 Sm 0.000 0.000 0.000
Mg1 Mg 0.000 0.250 0.376
Cr1 Cr 0.250 0.250 0.750
S1 S 0.000 0.036 0.743
S2 S 0.246 0.250 0.522
```

***

No. 6
# Sm3Mg2CrS8
Theoretical powder diffractogram, copper Kα. Input: the GGA-PBE geometry in the Materials Project.
Intensities are scaled so that the largest is 1000.

Top 6 peaks for 10 to 90 degrees two-theta, by angle:
13.8 deg, d = 6.436 Å, intensity 596, hkl 1 0 1
14.0 deg, d = 6.314 Å, intensity 508, hkl 0 0 3
26.5 deg, d = 3.367 Å, intensity 640, hkl 0 2 1
32.3 deg, d = 2.773 Å, intensity 1000, hkl 0 2 4
45.9 deg, d = 1.975 Å, intensity 462, hkl 2 2 0
46.6 deg, d = 1.947 Å, intensity 434, hkl 2 0 8

Crystal structure
```
data_Sm3Mg2CrS8
_symmetry_space_group_name_H-M 'R -3 m'
_symmetry_Int_Tables_number 166
_symmetry_space_group_name_Hall '-R 3 2"'
_cell_length_a 7.9016
_cell_length_b 7.9016
_cell_length_c 18.9432
_cell_angle_alpha 90.00
_cell_angle_beta 90.00
_cell_angle_gamma 120.00
loop_
_atom_site_label
_atom_site_type_symbol
_atom_site_fract_x
_atom_site_fract_y
_atom_site_fract_z
Sm1 Sm 0.0000 0.5000 0.0000
Mg1 Mg 0.0000 0.0000 0.1253
Cr1 Cr 0.0000 0.0000 0.5000
S1 S 0.0000 0.0000 0.2531
S2 S 0.0265 0.5132 0.2417
```

***

No. 7
# Mg2VCr3S8
Theoretical powder diffractogram, copper Kα. Input: the GGA-PBE geometry in the Materials Project.
Intensities are scaled so that the largest is 1000.

Top 6 peaks for 10 to 90 degrees two-theta, by angle:
15.0 deg, d = 5.907 Å, intensity 742, hkl 0 0 3
28.9 deg, d = 3.085 Å, intensity 701, hkl 0 2 1
35.1 deg, d = 2.558 Å, intensity 1000, hkl 0 2 4
46.1 deg, d = 1.969 Å, intensity 478, hkl 0 2 7
50.5 deg, d = 1.809 Å, intensity 948, hkl 2 2 0
84.7 deg, d = 1.144 Å, intensity 199, hkl 2 4 4

Crystal structure
```
data_Mg2VCr3S8
_symmetry_space_group_name_H-M 'R -3 m'
_symmetry_Int_Tables_number 166
_symmetry_space_group_name_Hall '-R 3 2"'
_cell_length_a 7.2389
_cell_length_b 7.2389
_cell_length_c 17.7020
_cell_angle_alpha 90.00
_cell_angle_beta 90.00
_cell_angle_gamma 120.00
loop_
_atom_site_label
_atom_site_type_symbol
_atom_site_fract_x
_atom_site_fract_y
_atom_site_fract_z
Mg1 Mg 0.0000 0.0000 0.1248
V1 V 0.0000 0.0000 0.5000
Cr1 Cr 0.0000 0.5000 0.0000
S1 S 0.0000 0.0000 0.2632
S2 S 0.0338 0.5169 0.2546
```

***

No. 8
# MgV3CrS8
Theoretical powder diffractogram, copper Kα. Input: the GGA-PBE geometry in the Materials Project.
Intensities are scaled so that the largest is 1000.

Top 6 peaks for 10 to 90 degrees two-theta, by angle:
15.2 deg, d = 5.820 Å, intensity 180, hkl 0 0 1
15.6 deg, d = 5.698 Å, intensity 593, hkl 1 1 0
29.9 deg, d = 2.987 Å, intensity 245, hkl 3 1 0
36.2 deg, d = 2.480 Å, intensity 1000, hkl 4 0 0
51.7 deg, d = 1.768 Å, intensity 384, hkl 4 0 -4
52.6 deg, d = 1.740 Å, intensity 347, hkl 6 2 -2

Crystal structure
```
data_MgV3CrS8
_symmetry_space_group_name_H-M 'C 1 m 1'
_symmetry_Int_Tables_number 8
_cell_length_a 12.063
_cell_length_b 6.958
_cell_length_c 7.077
_cell_angle_alpha 90.00
_cell_angle_beta 124.68
_cell_angle_gamma 90.00
loop_
_symmetry_equiv_pos_as_xyz
'x,y,z'
'x,-y,z'
'x+1/2,y+1/2,z'
'x+1/2,-y+1/2,z'
loop_
_atom_site_label
_atom_site_type_symbol
_atom_site_fract_x
_atom_site_fract_y
_atom_site_fract_z
Mg1 Mg 0.000 0.000 0.000
V1 V 0.108 0.280 0.603
V2 V 0.388 0.000 0.604
Cr1 Cr 0.376 0.000 0.127
S1 S 0.119 0.500 0.367
S2 S 0.122 0.500 0.867
S3 S 0.134 0.000 0.847
S4 S 0.137 0.000 0.411
S5 S 0.356 0.222 0.846
S6 S 0.374 0.244 0.367
```